Calculated powder X-ray diffraction pattern
Compound: Pm3Sc2
Radiation: Cu Kα
Structure: a GGA-PBE-relaxed structure
Kinematic intensities with the Lorentz-polarization factor, no thermal factor.

Peak list (8 most intense, 15 to 90 degrees two-theta, in order of rising 2θ)
d/Å  I_rel
2.859  100
2.846  50
2.832  49
2.478  34
2.462  65
1.744  23
1.738  22
1.486  27

Structural model:
```
data_Pm3Sc2
_chemical_formula_sum 'Pm6 Sc4'
_cell_length_a 6.081
_cell_length_b 6.951
_cell_length_c 7.793
_cell_angle_alpha 76.90
_cell_angle_beta 75.28
_cell_angle_gamma 72.97
_symmetry_space_group_name_H-M 'P -1'
_symmetry_Int_Tables_number 2
loop_
_symmetry_equiv_pos_as_xyz
'x,y,z'
'-x,-y,-z'
loop_
_atom_site_label
_atom_site_fract_x
_atom_site_fract_y
_atom_site_fract_z
Pm1 0.010 0.240 0.495
Pm2 0.200 0.553 0.098
Pm3 0.407 0.339 0.698
Sc1 0.201 0.048 0.093
Sc2 0.398 0.854 0.708
```